Structure and calculated powder diffraction line list of Pm4PrIn2 (a cell relaxed with PBE; a wavelength of 1.5418 Å).
Neutral-atom scattering factors, no anomalous dispersion.

Cell and atoms:
```
data_Pm4PrIn2
_space_group_name_H-M_alt 'C m c e'
_space_group_IT_number 64
_space_group_name_Hall '-C 2ac 2'
_cell_length_a 12.0292
_cell_length_b 6.9784
_cell_length_c 11.0792
_cell_angle_alpha 90.00
_cell_angle_beta 90.00
_cell_angle_gamma 90.00
loop_
_atom_site_label
_atom_site_type_symbol
_atom_site_fract_x
_atom_site_fract_y
_atom_site_fract_z
_atom_site_occupancy
Pm1 Pm 0.0000 0.0015 0.1685 1
Pm2 Pm 0.2500 0.2501 0.2500 1
Pr1 Pr 0.0000 0.0000 0.5000 1
In1 In 0.2241 0.0000 0.0000 1
```

Peak list (10 most intense, 2θ = 5–70°, sorted by position)
- 28.33°, I 85, (1 1 3)
- 29.60°, I 62, (2 2 0)
- 29.71°, I 100, (4 0 0)
- 30.27°, I 61, (0 2 2)
- 33.82°, I 96, (2 2 2)
- 35.46°, I 89, (3 1 3)
- 35.69°, I 38, (2 0 4)
- 42.93°, I 38, (4 2 2)
- 51.75°, I 43, (3 3 3)
- 65.03°, I 55, (4 2 6)